[1]
For Zr4CuSb7, DFT lattice parameters and positions (PBE) gives the simulated powder XRD pattern in this record (CuKα).
Intensities are scaled so that the largest is 100.

Structure:
a = 11.2595 Å, b = 11.2595 Å, c = 8.7695 Å
α = 90.00°, β = 90.00°, γ = 90.00°
Fractional positions:
Zr1 0.0000 0.0000 0.0000
Zr2 0.0000 0.5000 0.9828
Zr3 0.0044 0.2492 0.5181
Zr4 0.2462 0.2538 0.9919
Zr5 0.2492 0.9956 0.5181
Zr6 0.2508 0.4956 0.5181
Zr7 0.2538 0.7538 0.9919
Zr8 0.4956 0.7492 0.5181
Zr9 0.5000 0.0000 0.9828
Zr10 0.5000 0.5000 0.0000
Zr11 0.5044 0.2508 0.5181
Zr12 0.7462 0.2462 0.9919
Zr13 0.7492 0.5044 0.5181
Zr14 0.7508 0.0044 0.5181
Zr15 0.7538 0.7462 0.9919
Zr16 0.9956 0.7508 0.5181
Cu1 0.1255 0.6255 0.2513
Cu2 0.3745 0.1255 0.2513
Cu3 0.6255 0.8745 0.2513
Cu4 0.8745 0.3745 0.2513
Sb1 0.0000 0.0000 0.6461
Sb2 0.0000 0.5000 0.6318
Sb3 0.0029 0.7507 0.8720
Sb4 0.1080 0.3920 0.2568
Sb5 0.1248 0.8574 0.2564
Sb6 0.1426 0.1248 0.2564
Sb7 0.2469 0.7469 0.6406
Sb8 0.2493 0.0029 0.8720
Sb9 0.2507 0.5029 0.8720
Sb10 0.2531 0.2469 0.6406
Sb11 0.3574 0.6248 0.2564
Sb12 0.3752 0.3574 0.2564
Sb13 0.3920 0.8920 0.2568
Sb14 0.4971 0.2507 0.8720
Sb15 0.5000 0.0000 0.6318
Sb16 0.5000 0.5000 0.6461
Sb17 0.5029 0.7493 0.8720
Sb18 0.6080 0.1080 0.2568
Sb19 0.6248 0.6426 0.2564
Sb20 0.6426 0.3752 0.2564
Sb21 0.7469 0.7531 0.6406
Sb22 0.7493 0.4971 0.8720
Sb23 0.7507 0.9971 0.8720
Sb24 0.7531 0.2531 0.6406
Sb25 0.8574 0.8752 0.2564
Sb26 0.8752 0.1426 0.2564
Sb27 0.8920 0.6080 0.2568
Sb28 0.9971 0.2493 0.8720

Largest 6 diffraction maxima, in order of rising 2θ, 2θ from 10° to 90°:
d = 2.947 Å, intensity 38.0; d = 2.923 Å, intensity 32.0; d = 2.680 Å, intensity 100.0; d = 2.369 Å, intensity 57.1; d = 2.356 Å, intensity 61.1; d = 1.990 Å, intensity 49.9

***

[2]
For Gd3Bi7, DFT lattice parameters and positions (PBE) gives the simulated powder XRD pattern in this record (CuKα).
Intensities are scaled so that the largest is 100.

Structure:
a = 13.5787 Å, b = 13.5787 Å, c = 4.7490 Å
α = 90.00°, β = 90.00°, γ = 159.99°
Fractional positions:
Gd1 0.0000 0.0000 0.0000
Gd2 0.1882 0.8118 0.0000
Gd3 0.8118 0.1882 0.0000
Bi1 0.0981 0.9019 0.5000
Bi2 0.2952 0.7048 0.5000
Bi3 0.4032 0.5968 0.0000
Bi4 0.5000 0.5000 0.5000
Bi5 0.5968 0.4032 0.0000
Bi6 0.7048 0.2952 0.5000
Bi7 0.9019 0.0981 0.5000

Largest 6 diffraction maxima, in order of rising 2θ, 2θ from 10° to 90°:
d = 2.838 Å, intensity 100.0; d = 2.674 Å, intensity 19.5; d = 2.375 Å, intensity 15.9; d = 2.359 Å, intensity 15.6; d = 1.574 Å, intensity 14.0; d = 1.445 Å, intensity 13.4

***

[3]
For DyAlIn4Ir, DFT lattice parameters and positions (PBE) gives the simulated powder XRD pattern in this record (CuKα).
Intensities are scaled so that the largest is 100.

Structure:
a = 4.6121 Å, b = 4.6121 Å, c = 7.4156 Å
α = 90.00°, β = 90.00°, γ = 90.00°
Fractional positions:
Dy1 0.0000 0.0000 0.0000
Al1 0.5000 0.5000 0.0000
In1 0.0000 0.5000 0.2950
In2 0.0000 0.5000 0.7050
In3 0.5000 0.0000 0.2950
In4 0.5000 0.0000 0.7050
Ir1 0.0000 0.0000 0.5000

Largest 6 diffraction maxima, in order of rising 2θ, 2θ from 10° to 90°:
d = 4.612 Å, intensity 43.3; d = 2.890 Å, intensity 27.3; d = 2.449 Å, intensity 100.0; d = 2.306 Å, intensity 50.3; d = 1.631 Å, intensity 17.0; d = 1.357 Å, intensity 30.5

***

[4]
For YTmH2Br4, DFT lattice parameters and positions (PBE) gives the simulated powder XRD pattern in this record (CuKα).
Intensities are scaled so that the largest is 100.

Structure:
a = 3.8028 Å, b = 3.8028 Å, c = 14.7669 Å
α = 90.00°, β = 90.00°, γ = 120.00°
Fractional positions:
Y1 0.0000 0.0000 0.0000
Tm1 0.0000 0.0000 0.5000
H1 0.3333 0.6667 0.0000
H2 0.6667 0.3333 0.5000
Br1 0.3333 0.6667 0.3720
Br2 0.3333 0.6667 0.6280
Br3 0.6667 0.3333 0.1303
Br4 0.6667 0.3333 0.8697

Largest 6 diffraction maxima, in order of rising 2θ, 2θ from 10° to 90°:
d = 7.383 Å, intensity 76.7; d = 3.214 Å, intensity 46.7; d = 3.008 Å, intensity 63.9; d = 2.737 Å, intensity 37.6; d = 2.458 Å, intensity 100.0; d = 1.901 Å, intensity 41.3